Entry 1:
The following is a simulated PXRD pattern of CuH6C10Br6N2. It was derived from a GGA-PBE-relaxed structure, using CuKα.
No peak broadening, texture or thermal motion is included.

Peak list (6 most intense, 2θ = 10–90°, by angle)
| two_theta | I_rel | h k l |
| --- | --- | --- |
| 21.08 | 55 | 1 1 -1 |
| 21.70 | 89 | 0 0 2 |
| 24.59 | 72 | 1 -2 1 |
| 27.82 | 55 | 1 0 2 |
| 28.66 | 100 | -1 2 1 |
| 32.72 | 53 | 2 0 1 |

Structure:
a b c (Å): 6.321 8.079 8.569
angles (deg): 105.37 93.52 103.69
Space group P-1 (No. 2)
Inequivalent atoms, fractional coordinates:
Cu (0.000, 0.000, 0.000)
H (0.178, 0.376, 0.508)
H (0.193, 0.823, 0.501)
H (0.389, 0.244, 0.940)
C (0.061, 0.803, 0.404)
C (0.096, 0.889, 0.283)
C (0.146, 0.308, 0.601)
C (0.264, 0.235, 0.842)
C (0.310, 0.327, 0.726)
Br (0.127, 0.751, 0.830)
Br (0.374, 0.038, 0.276)
Br (0.403, 0.525, 0.255)
N (0.062, 0.129, 0.836)

=====

Entry 2:
The following is a simulated PXRD pattern of CuH12C6Br6N4. It was derived from a GGA-PBE-relaxed structure, using CuKα.
No peak broadening, texture or thermal motion is included.

Peak list (6 most intense, 2θ = 10–90°, by angle)
| two_theta | I_rel | h k l |
| --- | --- | --- |
| 14.13 | 76 | 0 1 1 |
| 20.68 | 53 | 1 0 -3 |
| 25.56 | 38 | 1 0 3 |
| 26.38 | 60 | 1 0 -4 |
| 26.63 | 42 | 2 -1 1 |
| 27.44 | 100 | -1 2 2 |

Structure:
a b c (Å): 7.441 8.121 14.153
angles (deg): 98.32 100.67 102.31
Space group P-1 (No. 2)
Inequivalent atoms, fractional coordinates:
Cu (0.214, 0.210, 0.251)
H (0.019, 0.874, 0.366)
H (0.115, 0.687, 0.883)
H (0.136, 0.913, 0.042)
H (0.158, 0.407, 0.436)
H (0.267, 0.796, 0.178)
H (0.278, 0.371, 0.717)
H (0.351, 0.944, 0.001)
H (0.353, 0.186, 0.670)
H (0.377, 0.523, 0.120)
H (0.421, 0.509, 0.603)
H (0.432, 0.309, 0.534)
H (0.491, 0.864, 0.149)
C (0.025, 0.257, 0.522)
C (0.235, 0.566, 0.988)
C (0.250, 0.853, 0.028)
C (0.274, 0.281, 0.650)
C (0.344, 0.375, 0.572)
C (0.344, 0.791, 0.119)
Br (0.103, 0.969, 0.799)
Br (0.134, 0.483, 0.281)
Br (0.182, 0.342, 0.915)
Br (0.221, 0.807, 0.553)
Br (0.340, 0.036, 0.356)
Br (0.476, 0.294, 0.180)
N (0.076, 0.195, 0.602)
N (0.166, 0.366, 0.503)
N (0.175, 0.693, 0.955)
N (0.335, 0.610, 0.079)

=====

Entry 3:
The following is a simulated PXRD pattern of CuC5BrN4. It was derived from a GGA-PBE-relaxed structure, using CuKα.
No peak broadening, texture or thermal motion is included.

Peak list (6 most intense, 2θ = 10–90°, by angle)
| two_theta | I_rel | h k l |
| --- | --- | --- |
| 12.07 | 73 | 1 0 1 |
| 13.79 | 100 | 0 1 1 |
| 24.27 | 35 | 2 0 2 |
| 26.53 | 23 | 2 2 0 |
| 27.79 | 49 | 0 2 2 |
| 33.56 | 23 | 3 2 1 |

Structure:
a b c (Å): 11.006 8.477 9.830
angles (deg): 90.00 90.00 90.00
Space group Pnna (No. 52)
Inequivalent atoms, fractional coordinates:
Cu (0.250, 0.000, 0.028)
C (0.034, 0.132, 0.870)
C (0.067, 0.696, 0.304)
C (0.249, 0.250, 0.250)
Br (0.079, 0.250, 0.250)
N (0.120, 0.082, 0.924)
N (0.186, 0.663, 0.338)

=====

Entry 4:
The following is a simulated PXRD pattern of DyErC2Br2. It was derived from a GGA-PBE-relaxed structure, using CuKα.
No peak broadening, texture or thermal motion is included.

Peak list (6 most intense, 2θ = 10–90°, by angle)
| two_theta | I_rel | h k l |
| --- | --- | --- |
| 26.91 | 51 | 1 1 0 |
| 29.19 | 77 | 2 0 -2 |
| 31.05 | 38 | 1 1 -2 |
| 32.17 | 100 | 1 1 2 |
| 37.46 | 42 | 1 1 3 |
| 45.77 | 41 | 3 1 0 |

Structure:
a b c (Å): 7.021 3.762 10.923
angles (deg): 90.00 94.69 90.00
Space group Cm (No. 8)
Inequivalent atoms, fractional coordinates:
Dy (0.000, 0.000, 0.000)
Er (0.210, 0.500, 0.737)
C (0.280, 0.000, 0.901)
C (0.430, 0.000, 0.833)
Br (0.034, 0.000, 0.566)
Br (0.178, 0.500, 0.174)

=====

Entry 5:
The following is a simulated PXRD pattern of DyErCBr2. It was derived from a GGA-PBE-relaxed structure, using CuKα.
No peak broadening, texture or thermal motion is included.

Peak list (6 most intense, 2θ = 10–90°, by angle)
| two_theta | I_rel | h k l |
| --- | --- | --- |
| 27.52 | 28 | 1 0 0 |
| 32.47 | 100 | 1 0 2 |
| 37.83 | 30 | 1 0 3 |
| 48.66 | 27 | 1 1 0 |
| 59.72 | 17 | 0 2 2 |
| 80.52 | 15 | 2 1 2 |

Structure:
a b c (Å): 3.7423 3.7423 10.4995
angles (deg): 90.00 90.00 120.00
Space group P3m1 (No. 156)
Inequivalent atoms, fractional coordinates:
Dy (0.0000, 0.0000, 0.0000)
Er (0.6667, 0.3333, 0.7472)
C (0.3333, 0.6667, 0.8723)
Br (0.0000, 0.0000, 0.5651)
Br (0.6667, 0.3333, 0.1855)

=====

Copy entry 4 word for word.
The following is a simulated PXRD pattern of DyErC2Br2. It was derived from a GGA-PBE-relaxed structure, using CuKα.
No peak broadening, texture or thermal motion is included.

Peak list (6 most intense, 2θ = 10–90°, by angle)
| two_theta | I_rel | h k l |
| --- | --- | --- |
| 26.91 | 51 | 1 1 0 |
| 29.19 | 77 | 2 0 -2 |
| 31.05 | 38 | 1 1 -2 |
| 32.17 | 100 | 1 1 2 |
| 37.46 | 42 | 1 1 3 |
| 45.77 | 41 | 3 1 0 |

Structure:
a b c (Å): 7.021 3.762 10.923
angles (deg): 90.00 94.69 90.00
Space group Cm (No. 8)
Inequivalent atoms, fractional coordinates:
Dy (0.000, 0.000, 0.000)
Er (0.210, 0.500, 0.737)
C (0.280, 0.000, 0.901)
C (0.430, 0.000, 0.833)
Br (0.034, 0.000, 0.566)
Br (0.178, 0.500, 0.174)